Starting from a GGA-PBE-relaxed structure, the XRD peak list of CaCd3Hg4 was simulated for copper Kα.

Structural model:
```
data_CaCd3Hg4
_space_group_name_H-M_alt 'C 1 2/m 1'
_space_group_IT_number 12
_cell_length_a 25.4515
_cell_length_b 3.6126
_cell_length_c 5.2397
_cell_angle_alpha 90.00
_cell_angle_beta 101.53
_cell_angle_gamma 90.00
loop_
_space_group_symop_operation_xyz
'x,y,z'
'-x,-y,-z'
'-x,y,-z'
'x,-y,z'
'x+1/2,y+1/2,z'
'-x+1/2,-y+1/2,-z'
'-x+1/2,y+1/2,-z'
'x+1/2,-y+1/2,z'
loop_
_atom_site_label
_atom_site_type_symbol
_atom_site_fract_x
_atom_site_fract_y
_atom_site_fract_z
_atom_site_occupancy
Ca1 Ca 0.0000 0.0000 0.0000 1
Cd1 Cd 0.0000 0.5000 0.5000 1
Cd2 Cd 0.2038 0.5000 0.0586 1
Hg1 Hg 0.0991 0.5000 0.2206 1
Hg2 Hg 0.1860 0.0000 0.5598 1
```

Peak list (10 most intense, 2θ = 10–80°, by angle)
| Position (°2θ) | intensity | hkl |
| --- | --- | --- |
| 17.3 | 33.0 | 2 0 -1 |
| 24.7 | 39.1 | 6 0 -1 |
| 30.0 | 39.9 | 1 1 -1 |
| 30.6 | 26.5 | 5 1 0 |
| 30.9 | 35.3 | 3 1 -1 |
| 33.3 | 100.0 | 3 1 1 |
| 36.0 | 43.7 | 10 0 0 |
| 37.1 | 29.6 | 2 0 2 |
| 37.3 | 69.5 | 6 0 -2 |
| 41.1 | 26.5 | 9 1 0 |